No. 1
Diffraction record for KPrCdBr6. The X-ray diffraction stick pattern is computed, not measured: it uses a crystal structure in Alexandria, relaxed with PBE and Cu Kα, 1.54184 Å.
Kinematic intensities with the Lorentz-polarization factor, no thermal factor.

Crystal structure
abc: 7.428 7.428 14.562
angles: 90.00 90.00 120.00
Element x y z (fractional)
K 0.000 0.000 0.000
K 0.000 0.000 0.500
Pr 0.333 0.667 0.250
Pr 0.667 0.333 0.750
Cd 0.333 0.667 0.750
Cd 0.667 0.333 0.250
Br 0.011 0.375 0.636
Br 0.011 0.636 0.864
Br 0.364 0.375 0.864
Br 0.364 0.989 0.636
Br 0.375 0.011 0.136
Br 0.375 0.364 0.364
Br 0.625 0.636 0.636
Br 0.625 0.989 0.864
Br 0.636 0.011 0.364
Br 0.636 0.625 0.136
Br 0.989 0.364 0.136
Br 0.989 0.625 0.364

Peak list (10 most intense, 5 to 70 degrees two-theta, by angle)
2θ = 12.16°, d = 7.281 Å, I 43
2θ = 13.77°, d = 6.433 Å, I 26
2θ = 18.40°, d = 4.821 Å, I 42
2θ = 26.95°, d = 3.308 Å, I 100
2θ = 34.50°, d = 2.600 Å, I 77
2θ = 39.06°, d = 2.306 Å, I 19
2θ = 42.14°, d = 2.144 Å, I 38
2θ = 44.60°, d = 2.032 Å, I 30
2θ = 55.55°, d = 1.654 Å, I 15
2θ = 67.50°, d = 1.388 Å, I 15



No. 2
Diffraction record for Rb3ScAg2I9. The X-ray diffraction stick pattern is computed, not measured: it uses a crystal structure in Alexandria, relaxed with PBE and Cu Kα, 1.54184 Å.
Kinematic intensities with the Lorentz-polarization factor, no thermal factor.

Crystal structure
abc: 8.310 8.310 10.375
angles: 90.00 90.00 120.00
Element x y z (fractional)
Rb 0.000 0.000 0.000
Rb 0.333 0.667 0.675
Rb 0.667 0.333 0.325
Sc 0.000 0.000 0.500
Ag 0.333 0.667 0.158
Ag 0.667 0.333 0.842
I 0.000 0.500 0.000
I 0.165 0.329 0.339
I 0.165 0.835 0.339
I 0.329 0.165 0.661
I 0.500 0.000 0.000
I 0.500 0.500 0.000
I 0.671 0.835 0.339
I 0.835 0.165 0.661
I 0.835 0.671 0.661

Peak list (10 most intense, 5 to 70 degrees two-theta, by angle)
2θ = 14.98°, d = 5.913 Å, I 30
2θ = 25.76°, d = 3.458 Å, I 23
2θ = 26.21°, d = 3.400 Å, I 66
2θ = 30.23°, d = 2.957 Å, I 100
2θ = 42.99°, d = 2.104 Å, I 37
2θ = 43.57°, d = 2.077 Å, I 36
2θ = 50.79°, d = 1.798 Å, I 10
2θ = 51.30°, d = 1.781 Å, I 20
2θ = 53.94°, d = 1.700 Å, I 19
2θ = 62.86°, d = 1.478 Å, I 12



No. 3
Diffraction record for Sm3Pa4Rh8. The X-ray diffraction stick pattern is computed, not measured: it uses a crystal structure in Alexandria, relaxed with PBE and Cu Kα, 1.54184 Å.
Kinematic intensities with the Lorentz-polarization factor, no thermal factor.

Crystal structure
abc: 9.553 9.553 9.553
angles: 60.00 60.00 60.00
Element x y z (fractional)
Sm 0.228 0.228 0.772
Sm 0.228 0.772 0.228
Sm 0.228 0.772 0.772
Sm 0.772 0.228 0.228
Sm 0.772 0.228 0.772
Sm 0.772 0.772 0.228
Pa 0.000 0.000 0.000
Pa 0.000 0.000 0.500
Pa 0.000 0.500 0.000
Pa 0.000 0.500 0.500
Pa 0.500 0.000 0.000
Pa 0.500 0.000 0.500
Pa 0.500 0.500 0.000
Pa 0.500 0.500 0.500
Rh 0.131 0.623 0.623
Rh 0.156 0.156 0.156
Rh 0.156 0.156 0.532
Rh 0.156 0.532 0.156
Rh 0.377 0.377 0.377
Rh 0.377 0.377 0.869
Rh 0.377 0.869 0.377
Rh 0.468 0.844 0.844
Rh 0.532 0.156 0.156
Rh 0.623 0.131 0.623
Rh 0.623 0.623 0.131
Rh 0.623 0.623 0.623
Rh 0.844 0.468 0.844
Rh 0.844 0.844 0.468
Rh 0.844 0.844 0.844
Rh 0.869 0.377 0.377

Peak list (10 most intense, 5 to 70 degrees two-theta, by angle)
2θ = 22.80°, d = 3.900 Å, I 12
2θ = 26.39°, d = 3.377 Å, I 12
2θ = 29.57°, d = 3.021 Å, I 6
2θ = 34.50°, d = 2.600 Å, I 11
2θ = 37.66°, d = 2.388 Å, I 100
2θ = 44.48°, d = 2.037 Å, I 11
2θ = 46.58°, d = 1.950 Å, I 5
2θ = 54.32°, d = 1.689 Å, I 13
2θ = 61.38°, d = 1.510 Å, I 9
2θ = 67.99°, d = 1.379 Å, I 26